(1)
For CaEu2Hf, a DFT-relaxed cell (PBE, Alexandria) gives the calculated powder diffractogram in this record (Cu Kα X-rays).
Kinematic intensities with the Lorentz-polarization factor, no thermal factor.

Principal peaks in the range 2θ from 5° to 70°, sorted by position:
2theta  I/Imax
6.89  100
27.81  60
30.00  89
30.27  78
38.13  31
39.66  36
43.01  38
44.79  33
53.09  31
60.99  39

Unit cell a=3.4499 b=3.4499 c=38.4961 alpha=90.00 beta=90.00 gamma=120.00
Fractional coordinates of all 12 atoms:
1 Ca 0.0000 0.0000 0.0000
2 Ca 0.3333 0.6667 0.6667
3 Ca 0.6667 0.3333 0.3333
4 Eu 0.0000 0.0000 0.4191
5 Eu 0.0000 0.0000 0.5809
6 Eu 0.3333 0.6667 0.0858
7 Eu 0.3333 0.6667 0.2475
8 Eu 0.6667 0.3333 0.7525
9 Eu 0.6667 0.3333 0.9142
10 Hf 0.0000 0.0000 0.5000
11 Hf 0.3333 0.6667 0.1667
12 Hf 0.6667 0.3333 0.8333

***

(2)
For CaEuHfSnO6, a DFT-relaxed cell (PBE, Alexandria) gives the calculated powder diffractogram in this record (Cu Kα X-rays).
Kinematic intensities with the Lorentz-polarization factor, no thermal factor.

Principal peaks in the range 2θ from 5° to 70°, sorted by position:
2theta  I/Imax
18.74  15
21.67  11
30.84  100
36.33  9
44.17  30
48.38  4
49.72  5
54.84  41
58.48  3
64.25  19

Unit cell a=5.7992 b=5.7992 c=5.7992 alpha=60.00 beta=60.00 gamma=60.00
Fractional coordinates of all 10 atoms:
1 Ca 0.0000 0.0000 0.0000
2 Eu 0.5000 0.5000 0.5000
3 Hf 0.2500 0.2500 0.2500
4 Sn 0.7500 0.7500 0.7500
5 O 0.9998 0.9998 0.5002
6 O 0.9998 0.5002 0.9998
7 O 0.9998 0.5002 0.5002
8 O 0.5002 0.9998 0.9998
9 O 0.5002 0.9998 0.5002
10 O 0.5002 0.5002 0.9998

***

(3)
For KCaEuSeO6, a DFT-relaxed cell (PBE, Alexandria) gives the calculated powder diffractogram in this record (Cu Kα X-rays).
Kinematic intensities with the Lorentz-polarization factor, no thermal factor.

Principal peaks in the range 2θ from 5° to 70°, sorted by position:
2theta  I/Imax
18.98  41
31.23  100
36.80  22
38.50  12
44.75  36
49.02  9
55.58  37
59.28  9
65.14  20
68.53  8

Unit cell a=5.7279 b=5.7279 c=5.7279 alpha=60.00 beta=60.00 gamma=60.00
Fractional coordinates of all 10 atoms:
1 K 0.0000 0.0000 0.0000
2 Ca 0.2500 0.2500 0.2500
3 Eu 0.5000 0.5000 0.5000
4 Se 0.7500 0.7500 0.7500
5 O 0.5265 0.5265 0.9735
6 O 0.5265 0.9735 0.5265
7 O 0.5265 0.9735 0.9735
8 O 0.9735 0.5265 0.5265
9 O 0.9735 0.5265 0.9735
10 O 0.9735 0.9735 0.5265

***

(4)
For CaPmEuLu, a DFT-relaxed cell (PBE, Alexandria) gives the calculated powder diffractogram in this record (Cu Kα X-rays).
Kinematic intensities with the Lorentz-polarization factor, no thermal factor.

Principal peaks in the range 2θ from 5° to 70°, sorted by position:
2theta  I/Imax
18.53  14
21.42  3
30.48  100
35.90  8
43.64  19
47.79  4
54.16  39
57.75  3
63.43  12
66.70  3

Unit cell a=8.2956 b=8.2956 c=8.2956 alpha=90.00 beta=90.00 gamma=90.00
Fractional coordinates of all 16 atoms:
1 Ca 0.0000 0.0000 0.0000
2 Ca 0.0000 0.5000 0.5000
3 Ca 0.5000 0.0000 0.5000
4 Ca 0.5000 0.5000 0.0000
5 Pm 0.2500 0.2500 0.2500
6 Pm 0.2500 0.7500 0.7500
7 Pm 0.7500 0.2500 0.7500
8 Pm 0.7500 0.7500 0.2500
9 Eu 0.2500 0.2500 0.7500
10 Eu 0.2500 0.7500 0.2500
11 Eu 0.7500 0.2500 0.2500
12 Eu 0.7500 0.7500 0.7500
13 Lu 0.0000 0.0000 0.5000
14 Lu 0.0000 0.5000 0.0000
15 Lu 0.5000 0.0000 0.0000
16 Lu 0.5000 0.5000 0.5000

***

Q: Number 4 is which compound?
A: CaPmEuLu